For Sr3Fe2Ag2S2O5, the GGA+U geometry in Alexandria gives the theoretical X-ray diffraction stick pattern in this record (Cu Ka).

The 10 most intense peaks (2θ = 15–90°), by angle:
two_theta, intensity
25.73, 19.8
31.73, 100.0
32.14, 62.4
34.09, 49.0
36.77, 24.2
37.14, 77.5
45.10, 73.3
56.19, 37.7
56.68, 30.1
65.69, 22.0

Atomic structure:
Cell lengths 14.1395, 14.1395, 14.1395 Å; angles 163.65, 163.65, 23.20 degrees
Atoms (fractional coordinates):
Sr1 0.0000 0.0000 0.0000
Sr2 0.1353 0.1353 0.0000
Sr3 0.8647 0.8647 0.0000
Fe1 0.4307 0.4307 0.0000
Fe2 0.5693 0.5693 0.0000
Ag1 0.2500 0.7500 0.5000
Ag2 0.7500 0.2500 0.5000
S1 0.3151 0.3151 0.0000
S2 0.6849 0.6849 0.0000
O1 0.0786 0.5786 0.5000
O2 0.4214 0.9214 0.5000
O3 0.5000 0.5000 0.0000
O4 0.5786 0.0786 0.5000
O5 0.9214 0.4214 0.5000